Record 1
Simulated powder XRD pattern
Compound: Pr2BiSb
Radiation: Cu Kα
Structure: the PBE geometry in Alexandria
Neutral-atom scattering factors, no anomalous dispersion.

Top 8 peaks for 10° ≤ 2θ ≤ 90°, by intensity:
| 2θ/deg | I_rel | h k l |
| --- | --- | --- |
| 27.43 | 100 | 0 0 2 |
| 39.18 | 78 | 0 8 0 |
| 64.01 | 31 | 4 8 -4 |
| 48.49 | 28 | 0 8 2 |
| 70.97 | 18 | 4 0 -6 |
| 56.61 | 13 | 0 0 4 |
| 71.05 | 9 | 2 12 -3 |
| 64.09 | 6 | 2 12 -1 |

```
data_Pr2BiSb
_cell_length_a 9.2056
_cell_length_b 18.3761
_cell_length_c 7.9662
_cell_angle_alpha 90.00
_cell_angle_beta 125.25
_cell_angle_gamma 90.00
_space_group_name_H-M_alt 'C 1 2/c 1'
_space_group_IT_number 15
loop_
_space_group_symop_operation_xyz
'x,y,z'
'-x,-y,-z'
'-x,y,-z+1/2'
'x,-y,z+1/2'
'x+1/2,y+1/2,z'
'-x+1/2,-y+1/2,-z'
'-x+1/2,y+1/2,-z+1/2'
'x+1/2,-y+1/2,z+1/2'
loop_
_atom_site_label
_atom_site_type_symbol
_atom_site_fract_x
_atom_site_fract_y
_atom_site_fract_z
Pr1 Pr 0.2426 0.0625 0.2458
Pr2 Pr 0.2479 0.1875 0.7458
Bi1 Bi 0.0000 0.3133 0.7500
Bi2 Bi 0.0000 0.4384 0.2500
Sb1 Sb 0.0000 0.0633 0.7500
Sb2 Sb 0.0000 0.1883 0.2500
```

---

Record 2
Simulated powder XRD pattern
Compound: Pr2BiSb3
Radiation: Cu Kα
Structure: the PBE geometry in Alexandria
Neutral-atom scattering factors, no anomalous dispersion.

Top 8 peaks for 10° ≤ 2θ ≤ 90°, by intensity:
| 2θ/deg | I_rel | h k l |
| --- | --- | --- |
| 27.62 | 100 | 1 0 3 |
| 39.46 | 52 | 1 2 3 |
| 64.52 | 24 | 2 2 6 |
| 48.73 | 14 | 0 2 6 |
| 48.95 | 14 | 2 2 0 |
| 71.42 | 13 | 1 2 9 |
| 57.03 | 13 | 2 0 6 |
| 39.33 | 13 | 0 0 6 |

```
data_Pr2BiSb3
_cell_length_a 4.5522
_cell_length_b 6.4606
_cell_length_c 13.7443
_cell_angle_alpha 90.00
_cell_angle_beta 90.00
_cell_angle_gamma 90.00
_space_group_name_H-M_alt 'I m m m'
_space_group_IT_number 71
_space_group_name_Hall '-I 2 2'
loop_
_atom_site_label
_atom_site_type_symbol
_atom_site_fract_x
_atom_site_fract_y
_atom_site_fract_z
Pr1 Pr 0.0000 0.0000 0.1676
Bi1 Bi 0.0000 0.0000 0.5000
Sb1 Sb 0.0000 0.5000 0.1654
Sb2 Sb 0.0000 0.5000 0.5000
```

---

Record 3
Simulated powder XRD pattern
Compound: Pr2TmScBi4
Radiation: Cu Kα
Structure: the PBE geometry in Alexandria
Neutral-atom scattering factors, no anomalous dispersion.

Top 8 peaks for 10° ≤ 2θ ≤ 90°, by intensity:
| 2θ/deg | I_rel | h k l |
| --- | --- | --- |
| 28.04 | 100 | 1 1 1 |
| 39.99 | 40 | 0 2 0 |
| 40.14 | 37 | 3 1 -1 |
| 49.55 | 21 | 2 2 -2 |
| 65.48 | 19 | 1 3 1 |
| 65.70 | 16 | 4 2 0 |
| 72.74 | 13 | 3 3 -1 |
| 57.96 | 13 | 2 2 2 |

```
data_Pr2TmScBi4
_cell_length_a 7.7711
_cell_length_b 4.5100
_cell_length_c 7.8083
_cell_angle_alpha 90.00
_cell_angle_beta 109.56
_cell_angle_gamma 90.00
_space_group_name_H-M_alt 'P 1 2/m 1'
_space_group_IT_number 10
loop_
_space_group_symop_operation_xyz
'x,y,z'
'-x,-y,-z'
'-x,y,-z'
'x,-y,z'
loop_
_atom_site_label
_atom_site_type_symbol
_atom_site_fract_x
_atom_site_fract_y
_atom_site_fract_z
Pr1 Pr 0.0000 0.0000 0.0000
Pr2 Pr 0.0000 0.5000 0.5000
Tm1 Tm 0.5000 0.0000 0.5000
Sc1 Sc 0.5000 0.5000 0.0000
Bi1 Bi 0.2678 0.5000 0.2510
Bi2 Bi 0.2713 0.0000 0.7619
```

---

Record 4
Simulated powder XRD pattern
Compound: Pr3BiSe3
Radiation: Cu Kα
Structure: the PBE geometry in Alexandria
Neutral-atom scattering factors, no anomalous dispersion.

Top 8 peaks for 10° ≤ 2θ ≤ 90°, by intensity:
| 2θ/deg | I_rel | h k l |
| --- | --- | --- |
| 23.88 | 100 | 2 -1 3 |
| 31.79 | 79 | 2 -1 6 |
| 36.10 | 61 | 3 0 0 |
| 31.97 | 28 | 3 -1 1 |
| 32.74 | 23 | 3 -2 2 |
| 12.50 | 22 | 1 0 1 |
| 52.09 | 21 | 0 3 9 |
| 14.28 | 21 | 0 1 2 |

```
data_Pr3BiSe3
_cell_length_a 8.6193
_cell_length_b 8.6193
_cell_length_c 22.3051
_cell_angle_alpha 90.00
_cell_angle_beta 90.00
_cell_angle_gamma 120.00
_space_group_name_H-M_alt 'R -3'
_space_group_IT_number 148
_space_group_name_Hall '-R 3'
loop_
_atom_site_label
_atom_site_type_symbol
_atom_site_fract_x
_atom_site_fract_y
_atom_site_fract_z
Pr1 Pr 0.0126 0.6245 0.4102
Bi1 Bi 0.0000 0.0000 0.1656
Se1 Se 0.0150 0.7319 0.6111
```

---

Record 5
Simulated powder XRD pattern
Compound: PrBi3Se6
Radiation: Cu Kα
Structure: the PBE geometry in Alexandria
Neutral-atom scattering factors, no anomalous dispersion.

Top 8 peaks for 10° ≤ 2θ ≤ 90°, by intensity:
| 2θ/deg | I_rel | h k l |
| --- | --- | --- |
| 31.31 | 100 | 0 1 3 |
| 28.59 | 70 | 1 1 2 |
| 38.61 | 60 | 3 1 -4 |
| 14.62 | 54 | 1 0 -2 |
| 24.56 | 53 | 1 1 1 |
| 43.16 | 42 | 0 2 0 |
| 21.58 | 37 | 1 0 -3 |
| 29.59 | 36 | 4 0 -2 |

```
data_PrBi3Se6
_cell_length_a 12.2987
_cell_length_b 4.1922
_cell_length_c 12.3584
_cell_angle_alpha 90.00
_cell_angle_beta 108.35
_cell_angle_gamma 90.00
_space_group_name_H-M_alt 'P 1 21/m 1'
_space_group_IT_number 11
loop_
_space_group_symop_operation_xyz
'x,y,z'
'-x,-y,-z'
'-x,y+1/2,-z'
'x,-y+1/2,z'
loop_
_atom_site_label
_atom_site_type_symbol
_atom_site_fract_x
_atom_site_fract_y
_atom_site_fract_z
Pr1 Pr 0.1920 0.2500 0.0404
Bi1 Bi 0.0301 0.7500 0.3007
Bi2 Bi 0.3379 0.2500 0.4380
Bi3 Bi 0.4017 0.7500 0.8482
Se1 Se 0.0325 0.7500 0.8946
Se2 Se 0.1168 0.2500 0.4662
Se3 Se 0.2319 0.7500 0.2408
Se4 Se 0.2418 0.2500 0.8046
Se5 Se 0.3922 0.7500 0.0721
Se6 Se 0.4217 0.7500 0.5981
```

---

Record 6
Simulated powder XRD pattern
Compound: Pr5Sm5Bi6
Radiation: Cu Kα
Structure: the PBE geometry in Alexandria
Neutral-atom scattering factors, no anomalous dispersion.

Top 8 peaks for 10° ≤ 2θ ≤ 90°, by intensity:
| 2θ/deg | I_rel | h k l |
| --- | --- | --- |
| 33.12 | 100 | 2 3 1 |
| 31.77 | 88 | 1 4 2 |
| 32.66 | 50 | 0 3 3 |
| 31.87 | 42 | 1 1 3 |
| 27.11 | 34 | 2 0 0 |
| 32.53 | 25 | 0 6 0 |
| 50.96 | 24 | 3 4 2 |
| 66.25 | 20 | 4 3 3 |

```
data_Pr5Sm5Bi6
_cell_length_a 6.5776
_cell_length_b 16.5157
_cell_length_c 9.4860
_cell_angle_alpha 90.00
_cell_angle_beta 90.00
_cell_angle_gamma 90.00
_space_group_name_H-M_alt 'A m m 2'
_space_group_IT_number 38
loop_
_space_group_symop_operation_xyz
'x,y,z'
'-x,-y,z'
'-x,y,z'
'x,-y,z'
'x,y+1/2,z+1/2'
'-x,-y+1/2,z+1/2'
'-x,y+1/2,z+1/2'
'x,-y+1/2,z+1/2'
loop_
_atom_site_label
_atom_site_type_symbol
_atom_site_fract_x
_atom_site_fract_y
_atom_site_fract_z
Pr1 Pr 0.0000 0.0000 0.0000
Pr2 Pr 0.2500 0.1661 0.7447
Sm1 Sm 0.0000 0.1239 0.3678
Sm2 Sm 0.5000 0.0000 0.4881
Sm3 Sm 0.5000 0.1241 0.1208
Bi1 Bi 0.0000 0.0000 0.6267
Bi2 Bi 0.0000 0.1939 0.0527
Bi3 Bi 0.5000 0.0000 0.8600
Bi4 Bi 0.5000 0.1922 0.4365
```